(1)
The following is a calculated PXRD pattern of Ti2Ni21B6. It was derived from a cell relaxed with PBE, using CuKα.
Neutral-atom scattering factors, no anomalous dispersion.

```
Ti2Ni21B6
1.0
0.000 5.237 5.237
5.237 0.000 5.237
5.237 5.237 0.000
Ti Ni B
2 21 6
Cartesian
2.619 2.619 2.619
7.856 7.856 7.856
0.000 0.000 0.000
1.779 1.779 0.000
3.458 3.458 0.000
1.779 0.000 1.779
5.237 3.458 1.779
3.458 0.000 3.458
5.237 1.779 3.458
6.459 4.015 4.015
0.000 1.779 1.779
3.458 5.237 1.779
3.458 1.779 5.237
4.015 4.015 4.015
6.459 6.459 4.015
6.459 4.015 6.459
4.015 6.459 4.015
4.015 4.015 6.459
6.459 6.459 6.459
0.000 3.458 3.458
1.779 5.237 3.458
1.779 3.458 5.237
4.015 6.459 6.459
5.237 5.237 2.820
5.237 2.820 5.237
7.654 5.237 5.237
2.820 5.237 5.237
5.237 7.654 5.237
5.237 5.237 7.654
```

Largest 12 diffraction maxima, sorted by position, 2θ = 5–70°:
- 24.03°, d = 3.703 Å, I 15
- 29.54°, d = 3.024 Å, I 39
- 34.24°, d = 2.619 Å, I 69
- 38.44°, d = 2.342 Å, I 188
- 42.27°, d = 2.138 Å, I 232
- 44.97°, d = 2.016 Å, I 1000
- 49.21°, d = 1.852 Å, I 179
- 51.63°, d = 1.770 Å, I 263
- 52.41°, d = 1.746 Å, I 145
- 57.72°, d = 1.597 Å, I 25
- 58.45°, d = 1.579 Å, I 54
- 64.11°, d = 1.452 Å, I 18

---

(2)
The following is a calculated PXRD pattern of Ba3Sb2O6. It was derived from a cell relaxed with PBE, using CuKα.
Neutral-atom scattering factors, no anomalous dispersion.

```
Ba3Sb2O6
1.0
6.273 0.000 0.000
-3.106 9.434 0.000
-0.086 -3.384 11.900
Ba Sb O
9 6 18
Cartesian
0.000 0.000 0.000
0.023 -0.051 9.387
0.107 3.086 2.410
-0.043 5.951 5.215
-0.023 6.386 9.491
3.104 -0.336 2.409
3.125 0.098 6.685
2.975 2.964 9.490
3.059 6.101 2.513
-0.051 -0.358 4.465
-0.102 2.690 6.929
-0.167 2.930 11.806
3.248 3.119 0.095
3.183 3.360 4.971
3.133 6.407 7.435
-1.715 4.249 3.835
-0.186 0.331 2.609
-1.922 7.003 0.165
-1.694 7.798 4.081
1.489 -1.783 7.636
0.073 4.487 7.719
0.381 5.860 1.748
1.377 1.743 7.838
2.258 1.416 0.243
0.823 4.634 11.657
1.705 4.307 4.062
2.701 0.190 10.152
3.009 1.563 4.181
1.593 7.833 4.264
4.776 -1.748 7.819
5.003 -0.954 11.735
3.268 5.719 9.291
4.796 1.801 8.065
```

Largest 12 diffraction maxima, sorted by position, 2θ = 5–70°:
- 27.18°, d = 3.281 Å, I 544
- 27.35°, d = 3.260 Å, I 554
- 27.63°, d = 3.229 Å, I 553
- 27.70°, d = 3.220 Å, I 512
- 28.43°, d = 3.140 Å, I 1000
- 37.80°, d = 2.380 Å, I 212
- 40.56°, d = 2.224 Å, I 219
- 40.70°, d = 2.217 Å, I 224
- 47.82°, d = 1.902 Å, I 109
- 49.47°, d = 1.842 Å, I 178
- 49.83°, d = 1.830 Å, I 228
- 50.06°, d = 1.822 Å, I 160

---

(3)
The following is a calculated PXRD pattern of Cd4TeSe3. It was derived from a cell relaxed with PBE, using CuKα.
Neutral-atom scattering factors, no anomalous dispersion.

```
Cd4TeSe3
1.0
4.469 0.000 0.000
0.000 8.961 0.000
0.000 0.000 6.268
Cd Te Se
4 1 3
Cartesian
0.000 0.000 0.000
0.000 4.481 0.166
2.235 2.345 3.324
2.235 6.616 3.324
2.235 0.000 1.724
0.000 2.302 4.840
0.000 6.660 4.840
2.235 4.481 1.693
```

Largest 12 diffraction maxima, sorted by position, 2θ = 5–70°:
- 24.44°, d = 3.642 Å, I 1000
- 28.20°, d = 3.164 Å, I 9
- 40.25°, d = 2.240 Å, I 127
- 40.36°, d = 2.235 Å, I 130
- 40.51°, d = 2.227 Å, I 503
- 47.70°, d = 1.906 Å, I 314
- 48.06°, d = 1.893 Å, I 151
- 58.32°, d = 1.582 Å, I 83
- 58.94°, d = 1.567 Å, I 39
- 64.09°, d = 1.453 Å, I 30
- 64.27°, d = 1.449 Å, I 32
- 64.47°, d = 1.445 Å, I 119

---

(4)
The following is a calculated PXRD pattern of SrP2Pt6. It was derived from a cell relaxed with PBE, using CuKα.
Neutral-atom scattering factors, no anomalous dispersion.

```
SrP2Pt6
1.0
8.588 0.000 0.000
0.000 8.588 0.000
0.000 0.000 8.588
Sr P Pt
4 8 24
Cartesian
0.000 0.000 0.000
0.000 4.294 4.294
4.294 0.000 4.294
4.294 4.294 0.000
1.664 5.958 6.924
1.664 6.924 2.630
2.630 1.664 6.924
2.630 2.630 2.630
5.958 5.958 5.958
5.958 6.924 1.664
6.924 1.664 5.958
6.924 2.630 1.664
0.678 1.342 5.643
0.678 2.952 1.349
1.342 5.643 0.678
1.342 7.239 4.972
1.349 0.678 2.952
1.349 3.616 7.246
2.945 4.972 2.952
2.945 7.910 7.246
2.952 1.349 0.678
2.952 2.945 4.972
3.616 5.636 5.643
3.616 7.246 1.349
4.972 1.342 7.239
4.972 2.952 2.945
5.636 5.643 3.616
5.636 7.239 7.910
5.643 0.678 1.342
5.643 3.616 5.636
7.239 4.972 1.342
7.239 7.910 5.636
7.246 1.349 3.616
7.246 2.945 7.910
7.910 5.636 7.239
7.910 7.246 2.945
```

Largest 12 diffraction maxima, sorted by position, 2θ = 5–70°:
- 17.89°, d = 4.958 Å, I 409
- 31.25°, d = 2.863 Å, I 584
- 34.64°, d = 2.589 Å, I 1000
- 37.77°, d = 2.382 Å, I 265
- 39.25°, d = 2.295 Å, I 723
- 42.09°, d = 2.147 Å, I 253
- 43.45°, d = 2.083 Å, I 371
- 44.77°, d = 2.024 Å, I 237
- 49.80°, d = 1.831 Å, I 323
- 57.82°, d = 1.595 Å, I 135
- 58.90°, d = 1.568 Å, I 159
- 61.03°, d = 1.518 Å, I 117